The following is a calculated powder diffractogram of FeB2P2H3O12. It was derived from a GGA+U-relaxed structure, using a wavelength of 1.5418 Å.
No peak broadening, texture or thermal motion is included.

Atomic structure:
Cell lengths 16.926, 6.604, 6.889 Å; angles 90.00, 100.99, 90.00 degrees
Space group C2/c (No. 15)
Inequivalent atoms, fractional coordinates:
Fe  0.250  0.250  0.000 (multiplicity 4)
B  0.092  0.243  0.655 (multiplicity 8)
P  0.141  0.129  0.321 (multiplicity 8)
H  0.000  0.500  0.000 (multiplicity 4)
H  0.164  0.487  0.736 (multiplicity 8)
O  0.013  0.373  0.651 (multiplicity 8)
O  0.082  0.037  0.716 (multiplicity 8)
O  0.091  0.260  0.443 (multiplicity 8)
O  0.160  0.341  0.776 (multiplicity 8)
O  0.166  0.278  0.174 (multiplicity 8)
O  0.214  0.031  0.453 (multiplicity 8)

Principal peaks in the range 2θ = 10–90°, by intensity:
hkl	2θ/deg	d_spacing	Rel. int.
3 1 1	26.38	3.379	100
2 0 0	10.65	8.308	52
4 0 -2	30.75	2.908	41
0 2 1	30.12	2.967	24
3 1 0	20.93	4.244	20
2 0 -2	26.50	3.364	17
6 0 2	46.19	1.965	15
0 2 0	27.00	3.302	14
3 1 -1	23.06	3.857	13
6 2 1	46.71	1.945	13